Starting from a PBE-relaxed structure, the XRD peak list of TbTaAsO was calculated for Cu Ka.

The 10 most intense peaks (2θ from 5° to 70°), sorted by position:
2θ/deg, d/Å, I_rel, index
9.79, 9.037, 341, 0 0 1
19.65, 4.518, 284, 0 0 2
29.66, 3.012, 229, 0 0 3
30.01, 2.978, 887, 1 0 2
33.51, 2.674, 1000, 1 1 1
37.52, 2.397, 305, 1 0 3
37.80, 2.380, 738, 1 1 2
45.84, 1.979, 616, 2 0 0
52.02, 1.758, 498, 1 1 4
55.76, 1.648, 309, 2 1 2

Atomic structure:
```
data_TbTaAsO
_chemical_formula_sum 'Tb2 Ta2 As2 O2'
_cell_length_a 3.9590
_cell_length_b 3.9590
_cell_length_c 9.0366
_cell_angle_alpha 90.00
_cell_angle_beta 90.00
_cell_angle_gamma 90.00
_space_group_name_H-M_alt 'P 4/n m m'
_space_group_IT_number 129
loop_
_space_group_symop_operation_xyz
'x,y,z'
'-x,-y,-z'
'-y+1/2,x,z'
'y+1/2,-x,-z'
'-x+1/2,-y+1/2,z'
'x+1/2,y+1/2,-z'
'y,-x+1/2,z'
'-y,x+1/2,-z'
'x+1/2,-y,-z'
'-x+1/2,y,z'
'-y,-x,-z'
'y,x,z'
'-x,y+1/2,-z'
'x,-y+1/2,z'
'y+1/2,x+1/2,-z'
'-y+1/2,-x+1/2,z'
loop_
_atom_site_label
_atom_site_type_symbol
_atom_site_fract_x
_atom_site_fract_y
_atom_site_fract_z
Tb1 Tb 0.2500 0.2500 0.1228
Ta1 Ta 0.2500 0.7500 0.5000
As1 As 0.2500 0.2500 0.6995
O1 O 0.2500 0.7500 0.0000
```